1.
# MoS6
Simulated powder XRD pattern, a wavelength of 1.5418 Å. Input: a crystal structure in Alexandria, relaxed with PBE.
Lines closer than 0.1° are merged.

Cell and atoms:
Lattice parameters (Å, degrees): 8.763 8.763 7.172 90.00 90.00 141.51
Fractional coordinates of all 7 atoms:
1 Mo 0.000 0.000 0.000
2 S 0.000 0.000 0.311
3 S 0.000 0.000 0.689
4 S 0.028 0.311 0.000
5 S 0.311 0.028 0.000
6 S 0.689 0.972 0.000
7 S 0.972 0.689 0.000

Principal peaks in the range 10 to 90 degrees two-theta, low angle first:
d = 8.273 Å, 10.69°, intensity 55; d = 7.172 Å, 12.34°, intensity 95; d = 5.454 Å, 16.25°, intensity 100; d = 4.341 Å, 20.46°, intensity 33; d = 3.989 Å, 22.28°, intensity 12; d = 3.585 Å, 24.83°, intensity 16; d = 2.758 Å, 32.47°, intensity 12; d = 2.727 Å, 32.84°, intensity 12; d = 2.368 Å, 37.99°, intensity 13; d = 2.189 Å, 41.25°, intensity 28

2.
# Mo21S8
Simulated powder XRD pattern, a wavelength of 1.5418 Å. Input: a crystal structure in Alexandria, relaxed with PBE.
Lines closer than 0.1° are merged.

Cell and atoms:
Lattice parameters (Å, degrees): 11.766 11.766 11.766 91.04 91.04 164.54
Fractional coordinates of all 29 atoms:
1 Mo 0.000 0.000 0.000
2 Mo 0.023 0.719 0.742
3 Mo 0.076 0.447 0.523
4 Mo 0.186 0.616 0.802
5 Mo 0.193 0.803 0.996
6 Mo 0.197 0.193 0.390
7 Mo 0.281 0.023 0.304
8 Mo 0.347 0.555 0.903
9 Mo 0.384 0.186 0.571
10 Mo 0.445 0.347 0.792
11 Mo 0.447 0.924 0.371
12 Mo 0.553 0.076 0.629
13 Mo 0.555 0.653 0.208
14 Mo 0.616 0.814 0.429
15 Mo 0.653 0.445 0.097
16 Mo 0.719 0.977 0.696
17 Mo 0.803 0.807 0.610
18 Mo 0.807 0.197 0.004
19 Mo 0.814 0.384 0.198
20 Mo 0.924 0.553 0.477
21 Mo 0.977 0.281 0.258
22 S 0.061 0.865 0.927
23 S 0.135 0.061 0.196
24 S 0.213 0.366 0.579
25 S 0.366 0.787 0.153
26 S 0.634 0.213 0.847
27 S 0.787 0.634 0.421
28 S 0.865 0.939 0.804
29 S 0.939 0.135 0.073

Principal peaks in the range 10 to 90 degrees two-theta, low angle first:
d = 2.604 Å, 34.44°, intensity 47; d = 2.332 Å, 38.61°, intensity 45; d = 2.284 Å, 39.46°, intensity 93; d = 2.201 Å, 41.01°, intensity 100; d = 2.165 Å, 41.72°, intensity 46; d = 1.998 Å, 45.39°, intensity 19; d = 1.583 Å, 58.29°, intensity 21; d = 1.355 Å, 69.36°, intensity 14; d = 1.337 Å, 70.43°, intensity 24; d = 1.278 Å, 74.22°, intensity 16

3.
# Mo2SeS3
Simulated powder XRD pattern, a wavelength of 1.5418 Å. Input: a crystal structure in Alexandria, relaxed with PBE.
Lines closer than 0.1° are merged.

Cell and atoms:
Lattice parameters (Å, degrees): 3.221 3.221 31.318 90.00 90.00 120.00
Fractional coordinates of all 12 atoms:
1 Mo 0.000 0.000 0.000
2 Mo 0.000 0.000 0.443
3 Mo 0.333 0.667 0.224
4 Mo 0.333 0.667 0.674
5 Se 0.000 0.000 0.619
6 Se 0.000 0.000 0.729
7 S 0.000 0.000 0.174
8 S 0.000 0.000 0.273
9 S 0.333 0.667 0.050
10 S 0.333 0.667 0.394
11 S 0.333 0.667 0.493
12 S 0.333 0.667 0.950

Principal peaks in the range 10 to 90 degrees two-theta, low angle first:
d = 7.830 Å, 11.30°, intensity 100; d = 6.264 Å, 14.14°, intensity 30; d = 2.790 Å, 32.08°, intensity 27; d = 2.628 Å, 34.12°, intensity 11; d = 2.460 Å, 36.52°, intensity 12; d = 2.367 Å, 38.01°, intensity 50; d = 1.993 Å, 45.52°, intensity 46; d = 1.611 Å, 57.19°, intensity 19; d = 1.253 Å, 75.96°, intensity 10; d = 1.182 Å, 81.42°, intensity 11